[1]
For Li7Co5O12, a cell relaxed with PBE+U gives the simulated XRD peak list in this record (a wavelength of 1.5418 Å).
No peak broadening, texture or thermal motion is included.

The 12 most intense peaks (2θ from 15° to 90°), by angle:
Position (°2θ)  I (rel.)  index
18.50  100  0 1 1
36.11  15  1 1 -2
36.37  14  2 1 1
36.59  13  1 -1 2
37.93  8  2 0 0
43.62  29  1 0 -3
44.09  27  2 2 2
44.31  27  1 -2 1
63.54  15  1 2 5
63.92  15  3 2 -1
64.36  7  0 2 -4
64.67  7  3 0 3

Cell and atoms:
```
data_Li7Co5O12
_cell_length_a 5.0200
_cell_length_b 5.8269
_cell_length_c 7.7190
_cell_angle_alpha 78.40
_cell_angle_beta 78.17
_cell_angle_gamma 73.19
_symmetry_space_group_name_H-M 'P -1'
_symmetry_Int_Tables_number 2
loop_
_symmetry_equiv_pos_as_xyz
'x,y,z'
'-x,-y,-z'
loop_
_atom_site_label
_atom_site_fract_x
_atom_site_fract_y
_atom_site_fract_z
Li1 0.0000 0.0000 0.0000
Li2 0.0000 0.5000 0.0000
Li3 0.0021 0.1637 0.3302
Li4 0.4905 0.6716 0.8355
Li5 0.5000 0.0000 0.5000
Co1 0.0011 0.3243 0.6739
Co2 0.4947 0.8383 0.1617
Co3 0.5000 0.5000 0.5000
O1 0.2468 0.3506 0.4205
O2 0.2595 0.0249 0.7512
O3 0.2638 0.8307 0.3984
O4 0.2661 0.4761 0.7546
O5 0.2663 0.6775 0.0980
O6 0.2871 0.1430 0.0748
```

***

[2]
For CrWO4, a cell relaxed with PBE+U gives the simulated XRD peak list in this record (a wavelength of 1.5418 Å).
No peak broadening, texture or thermal motion is included.

The 12 most intense peaks (2θ from 15° to 90°), by angle:
Position (°2θ)  I (rel.)  index
19.16  73  1 1 0
26.97  62  0 2 0
27.49  58  2 0 0
28.29  14  0 0 1
34.40  100  1 1 1
38.89  27  2 2 0
39.48  26  0 2 1
44.05  15  3 1 0
48.78  14  2 2 1
52.58  41  1 3 1
53.18  39  3 1 1
67.55  23  3 3 1

Cell and atoms:
```
data_CrWO4
_cell_length_a 6.4891
_cell_length_b 6.6122
_cell_length_c 3.1548
_cell_angle_alpha 90.00
_cell_angle_beta 90.00
_cell_angle_gamma 90.00
_symmetry_space_group_name_H-M 'C m m m'
_symmetry_Int_Tables_number 65
_symmetry_space_group_name_Hall '-C 2 2'
loop_
_atom_site_label
_atom_site_fract_x
_atom_site_fract_y
_atom_site_fract_z
Cr1 0.0000 0.0000 0.0000
W1 0.0000 0.5000 0.5000
O1 0.0000 0.3048 0.0000
O2 0.1991 0.0000 0.5000
```

***

[3]
For NaNi2P3O10, a cell relaxed with PBE+U gives the simulated XRD peak list in this record (a wavelength of 1.5418 Å).
No peak broadening, texture or thermal motion is included.

The 12 most intense peaks (2θ from 15° to 90°), by angle:
Position (°2θ)  I (rel.)  index
25.05  21  1 1 1
25.62  17  1 0 -2
28.39  100  1 2 0
31.41  34  1 1 2
33.07  18  0 3 1
33.33  48  1 0 -3
36.77  24  0 2 3
37.48  15  0 3 2
43.71  33  1 3 2
45.99  13  2 0 -3
57.17  16  2 3 2
68.41  14  3 3 -1

Cell and atoms:
```
data_NaNi2P3O10
_cell_length_a 4.7000
_cell_length_b 8.5274
_cell_length_c 9.0382
_cell_angle_alpha 90.00
_cell_angle_beta 98.02
_cell_angle_gamma 90.00
_symmetry_space_group_name_H-M 'P 1 21/m 1'
_symmetry_Int_Tables_number 11
loop_
_symmetry_equiv_pos_as_xyz
'x,y,z'
'-x,-y,-z'
'-x,y+1/2,-z'
'x,-y+1/2,z'
loop_
_atom_site_label
_atom_site_fract_x
_atom_site_fract_y
_atom_site_fract_z
Na1 0.0000 0.0000 0.0000
Ni1 0.0430 0.0710 0.3420
P1 0.3338 0.2500 0.8151
P2 0.3922 0.7500 0.4632
P3 0.4767 0.2500 0.1535
O1 0.1646 0.0994 0.7976
O2 0.2102 0.7500 0.7665
O3 0.2264 0.5987 0.4881
O4 0.3013 0.2500 0.4513
O5 0.3152 0.0994 0.1772
O6 0.4171 0.7500 0.2869
O7 0.4649 0.7500 0.0241
```